For CaNiSbP2O9, a PBE+U-relaxed structure gives the theoretical powder XRD pattern in this record (Cu Kα (weighted mean of Kα1 and Kα2)).

The 10 most intense peaks (2θ = 10–90°), sorted by position:
2θ = 17.0°, d = 5.219 Å, I = 70, (2 0 1); 2θ = 17.9°, d = 4.952 Å, I = 62, (0 1 1); 2θ = 24.8°, d = 3.592 Å, I = 100, (1 0 2); 2θ = 26.7°, d = 3.339 Å, I = 47, (0 2 0); 2θ = 30.0°, d = 2.981 Å, I = 51, (1 2 1); 2θ = 30.3°, d = 2.953 Å, I = 33, (4 1 1); 2θ = 31.8°, d = 2.813 Å, I = 28, (2 2 1); 2θ = 32.8°, d = 2.733 Å, I = 37, (5 0 1); 2θ = 38.4°, d = 2.347 Å, I = 28, (4 2 1); 2θ = 55.9°, d = 1.646 Å, I = 36, (5 2 3)

Structure:
Cell: 14.703 6.679 7.409 Å, 90.00 90.00 90.00°
Space group Pnma (No. 62)
Asymmetric unit:
Ca (0.207, 0.250, 0.102) (multiplicity 4)
Ni (0.000, 0.000, 0.000) (multiplicity 4)
Sb (0.119, 0.250, 0.645) (multiplicity 4)
P (0.074, 0.750, 0.642) (multiplicity 4)
P (0.184, 0.750, 0.111) (multiplicity 4)
O (0.015, 0.750, 0.471) (multiplicity 4)
O (0.019, 0.750, 0.818) (multiplicity 4)
O (0.066, 0.250, 0.886) (multiplicity 4)
O (0.127, 0.556, 0.114) (multiplicity 8)
O (0.142, 0.569, 0.634) (multiplicity 8)
O (0.245, 0.250, 0.450) (multiplicity 4)
O (0.250, 0.250, 0.781) (multiplicity 4)

***

For MgMn2O4, a PBE+U-relaxed structure gives the theoretical powder XRD pattern in this record (Cu Kα (weighted mean of Kα1 and Kα2)).

The 10 most intense peaks (2θ = 10–90°), sorted by position:
2θ = 17.9°, d = 4.960 Å, I = 54, (2 0 1); 2θ = 18.0°, d = 4.934 Å, I = 67, (0 0 3); 2θ = 33.2°, d = 2.701 Å, I = 45, (4 0 -1); 2θ = 33.3°, d = 2.690 Å, I = 50, (3 1 -3); 2θ = 35.3°, d = 2.542 Å, I = 100, (2 2 1); 2θ = 35.4°, d = 2.534 Å, I = 81, (1 1 5); 2θ = 39.8°, d = 2.266 Å, I = 48, (4 0 -4); 2θ = 43.3°, d = 2.091 Å, I = 73, (2 2 4); 2θ = 60.0°, d = 1.542 Å, I = 56, (6 2 0); 2θ = 60.4°, d = 1.531 Å, I = 55, (2 2 -8)

Structure:
Cell: 10.871 5.909 14.841 Å, 90.00 94.12 90.00°
Space group Cm (No. 8)
Asymmetric unit:
Mg (0.000, 0.000, 0.000) (multiplicity 2)
Mg (0.004, 0.000, 0.758) (multiplicity 2)
Mg (0.011, 0.000, 0.380) (multiplicity 2)
Mg (0.166, 0.500, 0.046) (multiplicity 2)
Mg (0.176, 0.500, 0.671) (multiplicity 2)
Mg (0.343, 0.000, 0.333) (multiplicity 2)
Mn (0.002, 0.500, 0.881) (multiplicity 2)
Mn (0.088, 0.248, 0.214) (multiplicity 4)
Mn (0.176, 0.000, 0.549) (multiplicity 2)
Mn (0.176, 0.500, 0.428) (multiplicity 2)
Mn (0.249, 0.252, 0.882) (multiplicity 4)
Mn (0.335, 0.000, 0.094) (multiplicity 2)
Mn (0.339, 0.500, 0.215) (multiplicity 2)
Mn (0.340, 0.000, 0.715) (multiplicity 2)
Mn (0.428, 0.248, 0.546) (multiplicity 4)
O (0.012, 0.000, 0.138) (multiplicity 2)
O (0.022, 0.500, 0.139) (multiplicity 2)
O (0.084, 0.271, 0.957) (multiplicity 4)
O (0.091, 0.227, 0.471) (multiplicity 4)
O (0.158, 0.000, 0.291) (multiplicity 2)
O (0.163, 0.500, 0.290) (multiplicity 2)
O (0.178, 0.500, 0.806) (multiplicity 2)
O (0.182, 0.000, 0.804) (multiplicity 2)
O (0.238, 0.267, 0.144) (multiplicity 4)
O (0.264, 0.227, 0.628) (multiplicity 4)
O (0.318, 0.500, 0.961) (multiplicity 2)
O (0.327, 0.000, 0.955) (multiplicity 2)
O (0.352, 0.000, 0.471) (multiplicity 2)
O (0.361, 0.500, 0.468) (multiplicity 2)
O (0.416, 0.225, 0.799) (multiplicity 4)
O (0.430, 0.270, 0.287) (multiplicity 4)
O (0.497, 0.000, 0.623) (multiplicity 2)
O (0.499, 0.500, 0.622) (multiplicity 2)

***

For MgP3W3O13, a PBE+U-relaxed structure gives the theoretical powder XRD pattern in this record (Cu Kα (weighted mean of Kα1 and Kα2)).

The 10 most intense peaks (2θ = 10–90°), sorted by position:
2θ = 15.8°, d = 5.618 Å, I = 50, (0 1 1); 2θ = 18.7°, d = 4.755 Å, I = 36, (1 1 -1); 2θ = 19.1°, d = 4.654 Å, I = 100, (1 0 -2); 2θ = 25.5°, d = 3.487 Å, I = 49, (2 0 1); 2θ = 28.0°, d = 3.184 Å, I = 26, (0 2 1); 2θ = 29.9°, d = 2.991 Å, I = 58, (1 0 3); 2θ = 30.8°, d = 2.902 Å, I = 31, (1 2 1); 2θ = 31.9°, d = 2.809 Å, I = 27, (2 0 -3); 2θ = 35.3°, d = 2.543 Å, I = 26, (2 2 0); 2θ = 37.5°, d = 2.401 Å, I = 26, (0 2 3)

Structure:
Cell: 7.920 6.692 10.464 Å, 90.00 98.82 90.00°
Space group P2_1/m (No. 11)
Asymmetric unit:
Mg (0.104, 0.250, 0.182) (multiplicity 2)
P (0.176, 0.750, 0.103) (multiplicity 2)
P (0.234, 0.750, 0.765) (multiplicity 2)
P (0.284, 0.250, 0.492) (multiplicity 2)
W (0.143, 0.250, 0.794) (multiplicity 2)
W (0.268, 0.750, 0.434) (multiplicity 2)
W (0.500, 0.000, 0.000) (multiplicity 2)
O (0.008, 0.250, 0.978) (multiplicity 2)
O (0.112, 0.573, 0.785) (multiplicity 4)
O (0.135, 0.750, 0.245) (multiplicity 2)
O (0.160, 0.250, 0.593) (multiplicity 2)
O (0.243, 0.069, 0.398) (multiplicity 4)
O (0.271, 0.552, 0.089) (multiplicity 4)
O (0.304, 0.750, 0.640) (multiplicity 2)
O (0.386, 0.250, 0.897) (multiplicity 2)
O (0.391, 0.750, 0.877) (multiplicity 2)
O (0.468, 0.250, 0.563) (multiplicity 2)